# MgCrNi
Simulated powder X-ray diffraction pattern, Cu Kα, 1.54184 Å. Input: a structure optimized by DFT (PBE).
No peak broadening, texture or thermal motion is included.

Principal peaks in the range 5° ≤ 2θ ≤ 70°, by intensity:
2θ 14.51, I = 100, (0 0 1)
2θ 41.92, I = 92, (1 1 -2)
2θ 43.97, I = 88, (3 1 0)
2θ 40.52, I = 48, (4 0 -2)
2θ 41.54, I = 47, (2 0 2)
2θ 48.35, I = 25, (4 0 -3)
2θ 42.63, I = 24, (3 1 -1)
2θ 19.95, I = 19, (2 0 0)
2θ 53.10, I = 17, (1 1 -3)
2θ 65.24, I = 14, (0 2 0)
2θ 37.64, I = 11, (4 0 -1)
2θ 56.14, I = 10, (2 0 -4)

a b c (Å): 9.5632 2.8604 6.5564
angles (deg): 90.00 111.43 90.00
Space group Cm (No. 8)
One atom of each set of equivalent atoms:
Mg1 0.0000 0.0000 0.0000 [2 per cell]
Mg2 0.1748 0.5000 0.7708 [2 per cell]
Cr1 0.2123 0.5000 0.3539 [2 per cell]
Cr2 0.3525 0.0000 0.5750 [2 per cell]
Ni1 0.0160 0.0000 0.4236 [2 per cell]
Ni2 0.3147 0.0000 0.1319 [2 per cell]